1.
The following is a simulated powder diffractogram of La2Pr5Er4. It was derived from a GGA-PBE-relaxed structure, using Cu Kα X-rays.
No peak broadening, texture or thermal motion is included.

Most intense lines, 2θ = 10–90°, sorted by position:
d (Å)	intensity
3.014	49
2.973	40
2.881	67
2.806	100
2.547	50
2.459	46

Cell and atoms:
a = 12.890 Å, b = 12.890 Å, c = 12.890 Å
α = 164.11°, β = 137.82°, γ = 45.34°
Sites, in units of the cell vectors:
La1 0.233 0.233 0.000
La2 0.767 0.767 0.000
Pr1 0.162 0.359 0.803
Pr2 0.444 0.641 0.803
Pr3 0.500 0.000 0.500
Pr4 0.556 0.359 0.197
Pr5 0.838 0.641 0.197
Er1 0.097 0.097 0.000
Er2 0.182 0.500 0.682
Er3 0.818 0.500 0.318
Er4 0.903 0.903 0.000



2.
The following is a simulated powder diffractogram of SmTmSnTe. It was derived from a GGA-PBE-relaxed structure, using Cu Kα X-rays.
No peak broadening, texture or thermal motion is included.

Most intense lines, 2θ = 10–90°, sorted by position:
d (Å)	intensity
3.122	100
2.211	38
2.204	39
1.800	21
1.394	18
1.273	20

Cell and atoms:
a = 7.667 Å, b = 7.667 Å, c = 7.667 Å
α = 33.41°, β = 33.41°, γ = 33.41°
Sites, in units of the cell vectors:
Sm1 0.000 0.000 0.000
Tm1 0.509 0.509 0.509
Sn1 0.251 0.251 0.251
Te1 0.758 0.758 0.758



3.
The following is a simulated powder diffractogram of Li4Pm3Cd4. It was derived from a GGA-PBE-relaxed structure, using Cu Kα X-rays.
No peak broadening, texture or thermal motion is included.

Most intense lines, 2θ = 10–90°, sorted by position:
d (Å)	intensity
5.267	67
3.920	69
2.721	91
2.672	63
2.608	75
2.495	100

Cell and atoms:
a = 16.080 Å, b = 16.080 Å, c = 4.997 Å
α = 98.87°, β = 98.87°, γ = 11.83°
Sites, in units of the cell vectors:
Li1 0.093 0.093 0.093
Li2 0.239 0.239 0.739
Li3 0.761 0.761 0.261
Li4 0.907 0.907 0.907
Pm1 0.358 0.358 0.358
Pm2 0.500 0.500 0.000
Pm3 0.642 0.642 0.642
Cd1 0.049 0.049 0.550
Cd2 0.186 0.186 0.186
Cd3 0.814 0.814 0.814
Cd4 0.951 0.951 0.450



4.
The following is a simulated powder diffractogram of Pr7YHo3. It was derived from a GGA-PBE-relaxed structure, using Cu Kα X-rays.
No peak broadening, texture or thermal motion is included.

Most intense lines, 2θ = 10–90°, sorted by position:
d (Å)	intensity
3.055	42
2.902	80
2.850	58
2.840	100
2.731	49
2.688	84

Cell and atoms:
a = 10.377 Å, b = 10.377 Å, c = 12.736 Å
α = 114.71°, β = 114.71°, γ = 40.81°
Sites, in units of the cell vectors:
Pr1 0.080 0.584 0.471
Pr2 0.080 0.587 0.974
Pr3 0.211 0.789 0.750
Pr4 0.337 0.349 0.228
Pr5 0.349 0.337 0.728
Pr6 0.413 0.920 0.526
Pr7 0.416 0.920 0.029
Pr8 0.584 0.080 0.971
Pr9 0.587 0.080 0.474
Pr10 0.651 0.663 0.272
Pr11 0.663 0.651 0.772
Pr12 0.789 0.211 0.250
Pr13 0.920 0.413 0.026
Pr14 0.920 0.416 0.529
Y1 0.000 0.000 0.000
Y2 0.000 0.000 0.500
Ho1 0.167 0.175 0.274
Ho2 0.175 0.167 0.774
Ho3 0.500 0.500 0.000
Ho4 0.500 0.500 0.500
Ho5 0.825 0.833 0.226
Ho6 0.833 0.825 0.726



5.
The following is a simulated powder diffractogram of Rb2Li2PaO6. It was derived from a GGA-PBE-relaxed structure, using Cu Kα X-rays.
No peak broadening, texture or thermal motion is included.

Most intense lines, 2θ = 10–90°, sorted by position:
d (Å)	intensity
3.887	100
2.812	29
2.278	23
2.120	39
1.770	22
1.399	21

Cell and atoms:
a = 5.623 Å, b = 5.623 Å, c = 6.452 Å
α = 90.00°, β = 90.00°, γ = 120.00°
Sites, in units of the cell vectors:
Rb1 0.333 0.667 0.000
Rb2 0.667 0.333 0.000
Li1 0.333 0.667 0.500
Li2 0.667 0.333 0.500
Pa1 0.000 0.000 0.500
O1 0.000 0.312 0.673
O2 0.000 0.688 0.327
O3 0.312 0.000 0.673
O4 0.312 0.312 0.327
O5 0.688 0.000 0.327
O6 0.688 0.688 0.673



6.
The following is a simulated powder diffractogram of Er5OsRu. It was derived from a GGA-PBE-relaxed structure, using Cu Kα X-rays.
No peak broadening, texture or thermal motion is included.

Most intense lines, 2θ = 10–90°, sorted by position:
d (Å)	intensity
6.951	83
2.988	100
2.808	99
2.585	83
2.508	50
2.050	49

Cell and atoms:
a = 8.368 Å, b = 8.368 Å, c = 6.228 Å
α = 100.58°, β = 100.58°, γ = 112.33°
Sites, in units of the cell vectors:
Er1 0.148 0.309 0.861
Er2 0.152 0.848 0.750
Er3 0.243 0.539 0.441
Er4 0.309 0.148 0.361
Er5 0.461 0.757 0.059
Er6 0.539 0.243 0.941
Er7 0.691 0.852 0.639
Er8 0.757 0.461 0.559
Er9 0.848 0.152 0.250
Er10 0.852 0.691 0.139
Os1 0.500 0.500 0.250
Os2 0.500 0.500 0.750
Ru1 0.000 0.000 0.000
Ru2 0.000 0.000 0.500